No. 1
Simulated PXRD pattern
Compound: La3TcGe
Radiation: Cu Kα
Structure: a PBE-relaxed structure
Neutral-atom scattering factors, no anomalous dispersion.

Crystal structure
a = 16.353 Å, b = 4.225 Å, c = 8.513 Å
α = 90.00°, β = 92.27°, γ = 90.00°
Space group C2/m (No. 12)
Inequivalent atoms, fractional coordinates:
La 0.043 0.000 0.170 [4 per cell]
La 0.100 0.500 0.545 [4 per cell]
La 0.238 0.000 0.823 [4 per cell]
Tc 0.212 0.000 0.484 [4 per cell]
Ge 0.105 0.500 0.923 [4 per cell]

Peak list (10 most intense, 2θ = 10–90°, by angle)
h k l, 2θ/deg, Rel. int.
3 1 -1, 28.48, 100
1 1 -2, 30.16, 55
4 0 2, 30.95, 40
0 0 3, 31.55, 62
6 0 0, 32.89, 26
3 1 2, 34.56, 27
5 1 0, 34.70, 70
0 2 0, 42.81, 46
6 0 -3, 45.26, 28
0 2 3, 54.14, 27

=====

No. 2
Simulated PXRD pattern
Compound: Tb6Pm2Cd
Radiation: Cu Kα
Structure: a PBE-relaxed structure
Neutral-atom scattering factors, no anomalous dispersion.

Crystal structure
a = 10.008 Å, b = 10.301 Å, c = 5.457 Å
α = 90.00°, β = 90.00°, γ = 90.00°
Space group Pnnm (No. 58)
Inequivalent atoms, fractional coordinates:
Tb 0.024 0.180 0.000 [4 per cell]
Tb 0.135 0.612 0.500 [4 per cell]
Tb 0.179 0.939 0.500 [4 per cell]
Pm 0.198 0.264 0.500 [4 per cell]
Cd 0.000 0.500 0.000 [2 per cell]

Peak list (10 most intense, 2θ = 10–90°, by angle)
h k l, 2θ/deg, Rel. int.
0 3 1, 30.77, 45
3 0 1, 31.43, 100
2 3 0, 31.60, 32
1 3 1, 32.07, 67
0 0 2, 32.82, 56
3 3 0, 37.59, 22
2 3 2, 46.21, 24
3 3 2, 50.75, 18
2 6 0, 56.67, 17
3 0 3, 57.73, 18

=====

No. 3
Simulated PXRD pattern
Compound: NaTl2NiPb
Radiation: Cu Kα
Structure: a PBE-relaxed structure
Neutral-atom scattering factors, no anomalous dispersion.

Crystal structure
a = 5.168 Å, b = 5.168 Å, c = 5.240 Å
α = 90.00°, β = 90.00°, γ = 90.00°
Space group P4/mmm (No. 123)
Inequivalent atoms, fractional coordinates:
Na 0.000 0.000 0.000 [1 per cell]
Tl 0.000 0.500 0.500 [2 per cell]
Ni 0.500 0.500 0.500 [1 per cell]
Pb 0.500 0.500 0.000 [1 per cell]

Peak list (10 most intense, 2θ = 10–90°, by angle)
h k l, 2θ/deg, Rel. int.
0 0 1, 16.92, 17
1 0 0, 17.16, 35
1 1 1, 29.81, 100
0 0 2, 34.22, 27
2 0 0, 34.72, 51
2 0 2, 49.54, 38
2 2 0, 49.91, 19
1 1 3, 58.57, 16
3 1 1, 59.22, 30
2 2 2, 61.91, 19

=====

No. 4
Simulated PXRD pattern
Compound: Er4Ru2Au
Radiation: Cu Kα
Structure: a PBE-relaxed structure
Neutral-atom scattering factors, no anomalous dispersion.

Crystal structure
a = 4.8288 Å, b = 4.8288 Å, c = 23.4359 Å
α = 90.00°, β = 90.00°, γ = 120.00°
Space group R-3m (No. 166, hexagonal axes)
Inequivalent atoms, fractional coordinates:
Er 0.0000 0.0000 0.1200 [6 per cell]
Er 0.0000 0.0000 0.3713 [6 per cell]
Ru 0.0000 0.0000 0.2482 [6 per cell]
Au 0.0000 0.0000 0.5000 [3 per cell]

Peak list (10 most intense, 2θ = 10–90°, by angle)
h k l, 2θ/deg, Rel. int.
0 0 3, 11.33, 13
1 0 1, 21.59, 12
1 0 4, 26.18, 14
1 1 0, 37.24, 100
0 1 8, 37.48, 95
2 0 8, 53.87, 34
3 0 0, 67.15, 18
1 2 8, 67.31, 34
1 0 16, 67.79, 15
2 2 0, 79.38, 11

=====

Q: Number 2 is which compound?
A: Tb6Pm2Cd